Entry 1:
Simulated X-ray diffraction stick pattern of TiMnNbCo for Cu Ka, from a cell relaxed with GGA-PBE.

Top 8 peaks for 10 to 90 degrees two-theta, in order of rising 2θ:
- hkl 0 0 1, d 5.986, 2θ = 14.80°, intensity 9.2
- hkl 1 0 1, d 2.705, 2θ = 33.11°, intensity 8.8
- hkl 1 1 0, d 2.145, 2θ = 42.14°, intensity 51.3
- hkl 1 0 2, d 2.130, 2θ = 42.43°, intensity 100.0
- hkl 2 0 0, d 1.516, 2θ = 61.11°, intensity 15.8
- hkl 0 0 4, d 1.496, 2θ = 62.02°, intensity 7.4
- hkl 2 1 2, d 1.235, 2θ = 77.22°, intensity 30.3
- hkl 1 1 4, d 1.227, 2θ = 77.83°, intensity 14.6

Crystal structure
```
data_TiMnNbCo
_cell_length_a 3.0329
_cell_length_b 3.0329
_cell_length_c 5.9856
_cell_angle_alpha 90.00
_cell_angle_beta 90.00
_cell_angle_gamma 90.00
_symmetry_space_group_name_H-M 'P 1'
_symmetry_Int_Tables_number 1
loop_
_symmetry_equiv_pos_as_xyz
'x,y,z'
loop_
_atom_site_label
_atom_site_fract_x
_atom_site_fract_y
_atom_site_fract_z
_atom_site_occupancy
Ti1 0.0000 0.0000 0.0000 1
Mn1 0.5000 0.5000 0.2421 1
Nb1 0.0000 0.0000 0.4941 1
Co1 0.5000 0.5000 0.7566 1
```

***

Entry 2:
Simulated X-ray diffraction stick pattern of Nd2MnCo10 for Cu Ka, from a cell relaxed with GGA-PBE.

Top 8 peaks for 10 to 90 degrees two-theta, in order of rising 2θ:
- hkl 2 0 0, d 3.409, 2θ = 26.14°, intensity 37.5
- hkl 1 2 1, d 3.339, 2θ = 26.70°, intensity 36.6
- hkl 2 0 1, d 2.815, 2θ = 31.79°, intensity 48.8
- hkl 1 4 1, d 2.399, 2θ = 37.49°, intensity 59.1
- hkl 1 2 2, d 2.181, 2θ = 41.40°, intensity 100.0
- hkl 3 3 0, d 1.974, 2θ = 45.98°, intensity 52.5
- hkl 0 6 1, d 1.850, 2θ = 49.26°, intensity 45.6
- hkl 3 3 1, d 1.835, 2θ = 49.67°, intensity 34.0

Crystal structure
```
data_Nd2MnCo10
_cell_length_a 6.8171
_cell_length_b 11.9497
_cell_length_c 4.9897
_cell_angle_alpha 90.00
_cell_angle_beta 90.00
_cell_angle_gamma 90.00
_symmetry_space_group_name_H-M 'P 1'
_symmetry_Int_Tables_number 1
loop_
_symmetry_equiv_pos_as_xyz
'x,y,z'
loop_
_atom_site_label
_atom_site_fract_x
_atom_site_fract_y
_atom_site_fract_z
_atom_site_occupancy
Nd1 0.2369 0.0931 0.0000 1
Nd2 0.2631 0.5931 0.0000 1
Nd3 0.7369 0.4069 0.0000 1
Nd4 0.7631 0.9069 0.0000 1
Mn1 0.0000 0.5000 0.5000 1
Mn2 0.5000 0.0000 0.5000 1
Co1 0.0150 0.1720 0.5000 1
Co2 0.1527 0.6737 0.5000 1
Co3 0.1659 0.9868 0.5000 1
Co4 0.1738 0.3368 0.2425 1
Co5 0.1738 0.3368 0.7575 1
Co6 0.3262 0.8368 0.2425 1
Co7 0.3262 0.8368 0.7575 1
Co8 0.3341 0.4868 0.5000 1
Co9 0.3473 0.1737 0.5000 1
Co10 0.4850 0.6720 0.5000 1
Co11 0.5150 0.3280 0.5000 1
Co12 0.6527 0.8263 0.5000 1
Co13 0.6659 0.5132 0.5000 1
Co14 0.6738 0.1632 0.2425 1
Co15 0.6738 0.1632 0.7575 1
Co16 0.8262 0.6632 0.2425 1
Co17 0.8262 0.6632 0.7575 1
Co18 0.8341 0.0132 0.5000 1
Co19 0.8473 0.3263 0.5000 1
Co20 0.9850 0.8280 0.5000 1
```